Record 1
The following is a computed X-ray powder pattern of Li3BiCl6. It was derived from a crystal structure in Alexandria, relaxed with GGA-PBE, using Cu Kα (weighted mean of Kα1 and Kα2).
No peak broadening, texture or thermal motion is included.

```
Li3BiCl6
1.0
7.396 0.000 0.000
3.590 6.585 0.000
3.590 2.143 6.228
Li Bi Cl
3 1 6
Direct
0.000 0.000 0.000 Li
0.000 0.000 0.500 Li
0.000 0.500 0.000 Li
0.500 0.500 0.500 Bi
0.217 0.274 0.778 Cl
0.221 0.782 0.270 Cl
0.223 0.756 0.756 Cl
0.777 0.244 0.244 Cl
0.779 0.218 0.730 Cl
0.783 0.726 0.222 Cl
```

Main lines, in order of rising 2θ (2θ = 10–90°):
2θ/deg  I_rel
14.22  62
14.69  46
16.54  44
16.68  100
27.50  39
27.93  23
33.72  41
37.28  23

=====

Record 2
The following is a computed X-ray powder pattern of Co2PdPt. It was derived from a crystal structure in Alexandria, relaxed with GGA-PBE, using Cu Kα (weighted mean of Kα1 and Kα2).
No peak broadening, texture or thermal motion is included.

```
Co2PdPt
1.0
-2.687 2.688 3.725
2.687 -2.688 3.725
2.687 2.688 -3.725
Co Pd Pt
4 2 2
Direct
0.000 0.248 0.248 Co
0.000 0.752 0.752 Co
0.500 0.248 0.748 Co
0.500 0.752 0.252 Co
0.499 0.749 0.750 Pd
0.501 0.251 0.250 Pd
0.001 0.251 0.750 Pt
0.999 0.749 0.250 Pt
```

Main lines, in order of rising 2θ (2θ = 10–90°):
2θ/deg  I_rel
23.89  18
33.34  15
41.43  100
47.87  33
48.90  15
70.84  20
84.75  24
86.30  12

=====

Record 3
The following is a computed X-ray powder pattern of PrSm2Hg2. It was derived from a crystal structure in Alexandria, relaxed with GGA-PBE, using Cu Kα (weighted mean of Kα1 and Kα2).
No peak broadening, texture or thermal motion is included.

```
PrSm2Hg2
1.0
5.313 0.000 0.000
-2.657 4.601 0.000
0.000 0.000 6.452
Pr Sm Hg
1 2 2
Direct
0.000 0.000 0.000 Pr
0.333 0.667 0.656 Sm
0.667 0.333 0.344 Sm
0.333 0.667 0.169 Hg
0.667 0.333 0.831 Hg
```

Main lines, in order of rising 2θ (2θ = 10–90°):
2θ/deg  I_rel
19.29  23
33.74  95
33.94  100
48.60  37
60.35  18
60.47  38
60.85  18
81.02  17

=====

Record 4
The following is a computed X-ray powder pattern of LuTiO3. It was derived from a crystal structure in Alexandria, relaxed with GGA-PBE, using Cu Kα (weighted mean of Kα1 and Kα2).
No peak broadening, texture or thermal motion is included.

```
LuTiO3
1.0
5.640 0.000 0.000
0.000 7.619 0.000
0.000 0.000 5.252
Lu Ti O
4 4 12
Direct
0.074 0.250 0.025 Lu
0.426 0.750 0.525 Lu
0.574 0.250 0.475 Lu
0.926 0.750 0.975 Lu
0.000 0.000 0.500 Ti
0.000 0.500 0.500 Ti
0.500 0.000 0.000 Ti
0.500 0.500 0.000 Ti
0.056 0.750 0.365 O
0.194 0.564 0.814 O
0.194 0.936 0.814 O
0.306 0.064 0.314 O
0.306 0.436 0.314 O
0.444 0.250 0.865 O
0.556 0.750 0.135 O
0.694 0.564 0.686 O
0.694 0.936 0.686 O
0.806 0.064 0.186 O
0.806 0.436 0.186 O
0.944 0.250 0.635 O
```

Main lines, in order of rising 2θ (2θ = 10–90°):
2θ/deg  I_rel
23.14  33
23.35  24
25.96  30
33.11  100
33.90  19
34.14  23
53.12  24
60.45  28